LiNi2OF3: simulated X-ray diffraction stick pattern (Cu Kα, 1.54184 Å), based on a cell relaxed with GGA+U.
Intensities are scaled so that the largest is 100.

Structure:
```
LiNi2OF3
1.0
-2.9412 6.1108 4.2742
2.9412 -6.1108 4.2742
2.9412 6.1108 -4.2742
Li Ni O F
4 8 4 12
direct
0.1301 0.0000 0.1301
0.6517 0.2874 0.3643
0.8699 0.0000 0.8699
0.9231 0.2874 0.6357
0.1225 0.6225 0.5000
0.2702 0.1464 0.6399
0.2702 0.6303 0.1238
0.3786 0.6272 0.7514
0.5066 0.1464 0.8762
0.5066 0.6303 0.3601
0.6581 0.6581 0.0000
0.8758 0.6272 0.2486
0.1732 0.4028 0.7705
0.3578 0.8578 0.5000
0.4231 0.4231 0.0000
0.6323 0.4028 0.2295
0.0110 0.3983 0.1353
0.0110 0.8756 0.6126
0.1334 0.8709 0.2625
0.2630 0.3983 0.3874
0.2630 0.8756 0.8647
0.5188 0.4028 0.6341
0.5188 0.8847 0.1160
0.6084 0.8709 0.7375
0.7687 0.4028 0.8840
0.7687 0.8847 0.3659
0.8877 0.8877 0.0000
0.8945 0.3945 0.5000
```

Main lines, in order of falling intensity (10° ≤ 2θ ≤ 90°):
2θ/deg	I (rel.)
18.3	100
42.7	88
12.6	84
61.6	51
42.3	43
34.7	40